Theoretical PXRD pattern
Compound: KB6H6
Radiation: Cu Kα X-rays
Structure: a DFT-relaxed cell (GGA-PBE, the Materials Project)
Lines closer than 0.1° are merged.

Principal peaks in the range 5 to 70 degrees two-theta, low angle first:
14.23°, 6.225 Å, I 100.0, (1 1 1)
23.33°, 3.812 Å, I 64.2, (2 2 0)
28.68°, 3.113 Å, I 22.6, (2 2 2)
37.30°, 2.411 Å, I 52.6, (4 0 2)
41.01°, 2.201 Å, I 16.5, (4 2 2)
50.81°, 1.797 Å, I 12.7, (4 4 2)
62.07°, 1.495 Å, I 9.3, (6 0 4)
64.69°, 1.441 Å, I 13.6, (6 4 2)

Crystal structure
a b c (Å): 10.7823 10.7823 10.7823
angles (deg): 90.00 90.00 90.00
Space group Fm-3 (No. 202)
Symmetry-distinct sites (fractional):
K: 0.2500 0.2500 0.2500
B: 0.0000 0.0822 0.1336
H: 0.0000 0.1397 0.2293